Record 1
Computed XRD peak list
Compound: InCuB2
Radiation: Cu Kα (λ = 1.5418 Å)
Structure: DFT lattice parameters and positions (PBE)
Intensities are scaled so that the largest is 100.

Structure:
Cell: 3.7577 3.7577 14.5584 Å, 90.00 90.00 90.00°
Sites, in units of the cell vectors:
In 0.0000 0.2500 0.3750
In 0.0000 0.7500 0.6250
In 0.5000 0.2500 0.1250
In 0.5000 0.7500 0.8750
Cu 0.0000 0.2500 0.8750
Cu 0.0000 0.7500 0.1250
Cu 0.5000 0.2500 0.6250
Cu 0.5000 0.7500 0.3750
B 0.0000 0.0000 0.0000
B 0.0000 0.5000 0.0000
B 0.2500 0.2500 0.7500
B 0.2500 0.7500 0.2500
B 0.5000 0.0000 0.5000
B 0.5000 0.5000 0.5000
B 0.7500 0.2500 0.7500
B 0.7500 0.7500 0.2500

Most intense lines, 2θ = 10–80°, low angle first:
24.46°, I = 60
30.08°, I = 8
35.98°, I = 100
48.45°, I = 21
50.13°, I = 12
50.97°, I = 36
55.00°, I = 31
72.28°, I = 13
74.29°, I = 11
76.30°, I = 13

Record 2
Computed XRD peak list
Compound: Hg4Mo
Radiation: Cu Kα (λ = 1.5418 Å)
Structure: DFT lattice parameters and positions (PBE)
Intensities are scaled so that the largest is 100.

Structure:
Cell: 6.9464 6.9464 4.5247 Å, 90.00 90.00 90.00°
Sites, in units of the cell vectors:
Hg 0.1072 0.2945 0.0000
Hg 0.2055 0.6072 0.5000
Hg 0.2945 0.8928 0.0000
Hg 0.3928 0.2055 0.5000
Hg 0.6072 0.7945 0.5000
Hg 0.7055 0.1072 0.0000
Hg 0.7945 0.3928 0.5000
Hg 0.8928 0.7055 0.0000
Mo 0.0000 0.0000 0.5000
Mo 0.5000 0.5000 0.0000

Most intense lines, 2θ = 10–80°, low angle first:
23.46°, I = 3
25.65°, I = 3
35.04°, I = 100
39.85°, I = 17
41.09°, I = 32
58.57°, I = 23
59.51°, I = 11
69.25°, I = 14
70.97°, I = 25
74.03°, I = 11

Record 3
Computed XRD peak list
Compound: NpAl2PbO8
Radiation: Cu Kα (λ = 1.5418 Å)
Structure: DFT lattice parameters and positions (PBE)
Intensities are scaled so that the largest is 100.

Structure:
Cell: 4.6929 4.6929 6.3911 Å, 90.00 90.00 90.98°
Sites, in units of the cell vectors:
Np 0.0000 0.0000 0.0000
Al 0.5000 0.5000 0.2576
Al 0.5000 0.5000 0.7424
Pb 0.0000 0.0000 0.5000
O 0.2176 0.7824 0.2356
O 0.2176 0.7824 0.7644
O 0.3110 0.3110 0.0000
O 0.3216 0.3216 0.5000
O 0.6784 0.6784 0.5000
O 0.6890 0.6890 0.0000
O 0.7824 0.2176 0.2356
O 0.7824 0.2176 0.7644

Most intense lines, 2θ = 10–80°, low angle first:
18.91°, I = 100
26.64°, I = 42
27.10°, I = 43
27.92°, I = 22
33.94°, I = 74
38.37°, I = 20
38.97°, I = 33
48.11°, I = 22
51.88°, I = 28
52.41°, I = 31

Record 4
Computed XRD peak list
Compound: LiCaAcPd
Radiation: Cu Kα (λ = 1.5418 Å)
Structure: DFT lattice parameters and positions (PBE)
Intensities are scaled so that the largest is 100.

Structure:
Cell: 4.3087 4.3496 12.1768 Å, 90.00 90.00 90.00°
Sites, in units of the cell vectors:
Li 0.0000 0.0000 0.0000
Li 0.0000 0.5000 0.5000
Ca 0.5000 0.0000 0.4184
Ca 0.5000 0.5000 0.9184
Ac 0.0000 0.0000 0.6998
Ac 0.0000 0.5000 0.1998
Pd 0.5000 0.0000 0.1430
Pd 0.5000 0.5000 0.6430

Most intense lines, 2θ = 10–80°, low angle first:
14.55°, I = 71
25.32°, I = 18
29.34°, I = 18
30.10°, I = 100
36.13°, I = 12
36.77°, I = 36
41.52°, I = 11
44.62°, I = 11
47.72°, I = 15
73.24°, I = 15

Record 5
Computed XRD peak list
Compound: PaNiIrPt
Radiation: Cu Kα (λ = 1.5418 Å)
Structure: DFT lattice parameters and positions (PBE)
Intensities are scaled so that the largest is 100.

Structure:
Cell: 3.9725 4.0383 4.1685 Å, 90.00 90.00 90.00°
Sites, in units of the cell vectors:
Pa 0.0000 0.0000 0.0000
Ni 0.5000 0.0000 0.5000
Ir 0.5000 0.5000 0.0000
Pt 0.0000 0.5000 0.5000

Most intense lines, 2θ = 10–80°, low angle first:
38.43°, I = 100
43.42°, I = 18
44.89°, I = 16
45.68°, I = 15
64.23°, I = 11
64.84°, I = 11
65.97°, I = 10
76.34°, I = 14
78.45°, I = 13
79.58°, I = 12

Record 6
Computed XRD peak list
Compound: PuPaSiGe
Radiation: Cu Kα (λ = 1.5418 Å)
Structure: DFT lattice parameters and positions (PBE)
Intensities are scaled so that the largest is 100.

Structure:
Cell: 3.8649 4.2950 10.6786 Å, 90.00 90.00 90.00°
Sites, in units of the cell vectors:
Pu 0.0000 0.0000 0.0000
Pu 0.0000 0.5000 0.5000
Pa 0.5000 0.0000 0.2887
Pa 0.5000 0.5000 0.7887
Si 0.0000 0.0000 0.7248
Si 0.0000 0.5000 0.2248
Ge 0.5000 0.0000 0.5720
Ge 0.5000 0.5000 0.0720

Most intense lines, 2θ = 10–80°, low angle first:
22.31°, I = 26
28.51°, I = 53
32.27°, I = 100
32.67°, I = 55
33.57°, I = 26
40.34°, I = 27
42.08°, I = 23
51.61°, I = 22
58.44°, I = 22
64.89°, I = 26

Record 7
Computed XRD peak list
Compound: Pm2PrNdSm6
Radiation: Cu Kα (λ = 1.5418 Å)
Structure: DFT lattice parameters and positions (PBE)
Intensities are scaled so that the largest is 100.

Structure:
Cell: 8.9431 8.9431 9.9283 Å, 94.50 94.50 117.97°
Sites, in units of the cell vectors:
Pm 0.1922 0.2927 0.0428
Pm 0.2927 0.1922 0.5428
Pm 0.7073 0.8078 0.4572
Pm 0.8078 0.7073 0.9572
Pr 0.0199 0.9801 0.2500
Pr 0.9801 0.0199 0.7500
Nd 0.4057 0.5943 0.7500
Nd 0.5943 0.4057 0.2500
Sm 0.0224 0.5719 0.1842
Sm 0.1183 0.7442 0.5561
Sm 0.2558 0.8817 0.9439
Sm 0.2959 0.5052 0.3791
Sm 0.4281 0.9776 0.3158
Sm 0.4948 0.7041 0.1209
Sm 0.5052 0.2959 0.8791
Sm 0.5719 0.0224 0.6842
Sm 0.7041 0.4948 0.6209
Sm 0.7442 0.1183 0.0561
Sm 0.8817 0.2558 0.4439
Sm 0.9776 0.4281 0.8158

Most intense lines, 2θ = 10–80°, low angle first:
28.03°, I = 37
29.70°, I = 41
30.02°, I = 57
30.77°, I = 46
31.01°, I = 100
31.69°, I = 20
32.74°, I = 62
33.32°, I = 15
49.32°, I = 13
59.41°, I = 14

Record 8
Computed XRD peak list
Compound: Na8B11C5
Radiation: Cu Kα (λ = 1.5418 Å)
Structure: DFT lattice parameters and positions (PBE)
Intensities are scaled so that the largest is 100.

Structure:
Cell: 8.5941 5.8530 5.8530 Å, 57.45 90.00 90.00°
Sites, in units of the cell vectors:
Na 0.2467 0.2493 0.7507
Na 0.2467 0.7507 0.2493
Na 0.2484 0.7509 0.7509
Na 0.2513 0.2519 0.2519
Na 0.7487 0.2519 0.2519
Na 0.7516 0.7509 0.7509
Na 0.7533 0.2493 0.7507
Na 0.7533 0.7507 0.2493
B 0.0000 0.4116 0.4116
B 0.0000 0.4161 0.9327
B 0.0000 0.5775 0.5775
B 0.0000 0.9156 0.9156
B 0.0000 0.9327 0.4161
B 0.5000 0.0686 0.0686
B 0.5000 0.0897 0.5901
B 0.5000 0.4255 0.9244
B 0.5000 0.5682 0.5682
B 0.5000 0.5901 0.0897
B 0.5000 0.9244 0.4255
C 0.0000 0.0800 0.0800
C 0.0000 0.0818 0.5801
C 0.0000 0.5801 0.0818
C 0.5000 0.4185 0.4185
C 0.5000 0.9186 0.9186

Most intense lines, 2θ = 10–80°, low angle first:
34.96°, I = 12
36.42°, I = 16
40.96°, I = 49
42.05°, I = 38
42.24°, I = 100
56.83°, I = 9
63.66°, I = 18
66.47°, I = 8
76.98°, I = 13
79.27°, I = 17